# 1
Diffraction record for AcLa6Pm4. The PXRD pattern is simulated, not measured: it uses a cell relaxed with PBE and copper Kα.
Neutral-atom scattering factors, no anomalous dispersion.

Structure:
```
AcLa6Pm4
1.0
5.3824 -11.8871 0.0000
5.3824 11.8871 0.0000
0.0000 0.0000 6.5563
Ac La Pm
2 12 8
direct
0.2500 0.7500 0.7500
0.7500 0.2500 0.2500
0.0914 0.5914 0.2500
0.1018 0.8982 0.2500
0.2500 0.2500 0.0053
0.2500 0.2500 0.5053
0.3982 0.6018 0.2500
0.4086 0.9086 0.2500
0.5914 0.0914 0.7500
0.6018 0.3982 0.7500
0.7500 0.7500 0.4947
0.7500 0.7500 0.9947
0.8982 0.1018 0.7500
0.9086 0.4086 0.7500
0.0501 0.2960 0.2533
0.2040 0.4499 0.7533
0.2960 0.0501 0.7533
0.4499 0.2040 0.2533
0.5501 0.7960 0.7467
0.7040 0.9499 0.2467
0.7960 0.5501 0.2467
0.9499 0.7040 0.7467
```

Most intense lines, 10° ≤ 2θ ≤ 90°, in order of falling intensity:
d_spacing	two_theta	Rel. int.
2.925	30.56	1000
2.625	34.16	454
2.972	30.07	402
3.278	27.20	285
2.526	35.54	253
1.817	50.22	251
1.782	51.28	244
3.160	28.24	200
1.391	67.32	168
1.574	58.66	145

=====

# 2
Diffraction record for Ac2La7Pm3. The PXRD pattern is simulated, not measured: it uses a cell relaxed with PBE and copper Kα.
Neutral-atom scattering factors, no anomalous dispersion.

Structure:
```
Ac2La7Pm3
1.0
6.1058 0.0000 0.0000
0.0000 3.7348 0.0000
-1.2182 0.0000 19.9727
Ac La Pm
2 7 3
direct
0.1938 0.0000 0.2964
0.8062 0.0000 0.7036
0.1684 0.5000 0.1410
0.2421 0.0000 0.4685
0.3314 0.0000 0.8263
0.5000 0.5000 0.0000
0.6686 0.0000 0.1737
0.7579 0.0000 0.5315
0.8316 0.5000 0.8590
0.0000 0.0000 0.0000
0.2917 0.5000 0.6309
0.7083 0.5000 0.3691
```

Most intense lines, 10° ≤ 2θ ≤ 90°, in order of falling intensity:
d_spacing	two_theta	Rel. int.
3.004	29.74	1000
3.042	29.36	589
2.725	32.87	378
2.850	31.38	327
2.991	29.88	275
3.062	29.16	257
3.329	26.78	238
2.076	43.60	213
1.769	51.68	209
2.838	31.53	195

=====

# 3
Diffraction record for AcLaPm. The PXRD pattern is simulated, not measured: it uses a cell relaxed with PBE and copper Kα.
Neutral-atom scattering factors, no anomalous dispersion.

Structure:
```
AcLaPm
1.0
-1.9086 2.6757 5.6873
1.9086 -2.6757 5.6873
1.9086 2.6757 -5.6873
Ac La Pm
1 1 1
direct
0.0000 0.0000 0.0000
0.6687 0.6687 0.0000
0.3315 0.3315 0.0000
```

Most intense lines, 10° ≤ 2θ ≤ 90°, in order of falling intensity:
d_spacing	two_theta	Rel. int.
3.108	28.73	1000
3.094	28.86	988
2.690	33.31	680
1.897	47.96	619
1.618	56.92	447
2.676	33.49	336
1.624	56.67	303
1.230	77.63	181
1.614	57.06	148
1.554	59.49	143

=====

# 4
Diffraction record for Ac8La2Pm3. The PXRD pattern is simulated, not measured: it uses a cell relaxed with PBE and copper Kα.
Neutral-atom scattering factors, no anomalous dispersion.

Structure:
```
Ac8La2Pm3
1.0
8.1528 -4.9722 0.0000
8.1528 4.9722 0.0000
-2.3323 0.0000 6.9903
Ac La Pm
8 2 3
direct
0.0670 0.6974 0.3050
0.0999 0.0999 0.2124
0.3026 0.9330 0.6950
0.3139 0.3139 0.6152
0.6861 0.6861 0.3848
0.6974 0.0670 0.3050
0.9001 0.9001 0.7876
0.9330 0.3026 0.6950
0.3067 0.3067 0.0834
0.6933 0.6933 0.9166
0.3360 0.6640 0.0000
0.5000 0.5000 0.5000
0.6640 0.3360 0.0000
```

Most intense lines, 10° ≤ 2θ ≤ 90°, in order of falling intensity:
d_spacing	two_theta	Rel. int.
3.045	29.33	1000
3.133	28.49	907
2.954	30.26	829
3.346	26.64	641
3.018	29.60	606
1.673	54.88	471
3.895	22.83	460
2.757	32.47	347
2.788	32.10	332
1.689	54.32	289

=====

# 5
Diffraction record for AcLa2Pm12. The PXRD pattern is simulated, not measured: it uses a cell relaxed with PBE and copper Kα.
Neutral-atom scattering factors, no anomalous dispersion.

Structure:
```
AcLa2Pm12
1.0
6.5991 0.0000 0.0000
0.0000 6.5991 0.0000
0.0000 0.0000 25.9816
Ac La Pm
2 4 24
direct
0.2500 0.7500 0.0000
0.7500 0.2500 0.0000
0.2500 0.7500 0.2709
0.2500 0.7500 0.7291
0.7500 0.2500 0.2709
0.7500 0.2500 0.7291
0.0644 0.5644 0.1210
0.0644 0.9356 0.8790
0.0819 0.5819 0.5604
0.0819 0.9181 0.4396
0.2500 0.2500 0.2205
0.2500 0.2500 0.3415
0.2500 0.2500 0.6585
0.2500 0.2500 0.7795
0.4181 0.5819 0.4396
0.4181 0.9181 0.5604
0.4356 0.5644 0.8790
0.4356 0.9356 0.1210
0.5644 0.0644 0.8790
0.5644 0.4356 0.1210
0.5819 0.0819 0.4396
0.5819 0.4181 0.5604
0.7500 0.7500 0.2205
0.7500 0.7500 0.3415
0.7500 0.7500 0.6585
0.7500 0.7500 0.7795
0.9181 0.0819 0.5604
0.9181 0.4181 0.4396
0.9356 0.0644 0.1210
0.9356 0.4356 0.8790
```

Most intense lines, 10° ≤ 2θ ≤ 90°, in order of falling intensity:
d_spacing	two_theta	Rel. int.
2.881	31.04	1000
2.905	30.78	815
3.083	28.96	546
2.941	30.39	513
2.333	38.59	403
2.566	34.96	394
3.198	27.90	384
4.392	20.22	378
1.691	54.24	286
2.687	33.35	237

=====

# 6
Diffraction record for Ac7La2Pm2. The PXRD pattern is simulated, not measured: it uses a cell relaxed with PBE and copper Kα.
Neutral-atom scattering factors, no anomalous dispersion.

Structure:
```
Ac7La2Pm2
1.0
9.4402 -6.2806 0.0000
9.4402 6.2806 0.0000
-0.6315 0.0000 3.8929
Ac La Pm
7 2 2
direct
0.0000 0.0000 0.0000
0.0748 0.5977 0.8246
0.3908 0.3908 0.3115
0.4023 0.9252 0.1754
0.5977 0.0748 0.8246
0.6092 0.6092 0.6885
0.9252 0.4023 0.1754
0.2573 0.7427 0.5000
0.7427 0.2573 0.5000
0.2098 0.2098 0.6982
0.7902 0.7902 0.3018
```

Most intense lines, 10° ≤ 2θ ≤ 90°, in order of falling intensity:
d_spacing	two_theta	Rel. int.
2.992	29.86	1000
3.140	28.42	616
2.890	30.94	549
2.784	32.15	472
3.573	24.92	350
1.783	51.23	209
3.430	25.98	207
3.106	28.74	171
3.258	27.38	165
1.668	55.04	161

=====

# 7
Diffraction record for Ac12La5Pm. The PXRD pattern is simulated, not measured: it uses a cell relaxed with PBE and copper Kα.
Neutral-atom scattering factors, no anomalous dispersion.

Structure:
```
Ac12La5Pm
1.0
6.3183 0.0000 0.0000
0.0000 5.9565 10.2150
0.0000 -5.9565 10.2150
Ac La Pm
12 5 1
direct
0.0000 0.1625 0.8375
0.0000 0.1700 0.4949
0.0000 0.4949 0.1700
0.0000 0.5027 0.8291
0.0000 0.8291 0.5027
0.0000 0.8375 0.1625
0.5000 0.0464 0.7217
0.5000 0.0548 0.3789
0.5000 0.3789 0.0548
0.5000 0.3882 0.7130
0.5000 0.7130 0.3882
0.5000 0.7217 0.0464
0.0000 0.4948 0.4948
0.0000 0.8281 0.8281
0.5000 0.0560 0.0560
0.5000 0.3884 0.3884
0.5000 0.7222 0.7222
0.0000 0.1627 0.1627
```

Most intense lines, 10° ≤ 2θ ≤ 90°, in order of falling intensity:
d_spacing	two_theta	Rel. int.
3.015	29.63	1000
2.997	29.81	457
3.159	28.25	370
1.672	54.91	234
1.795	50.87	229
3.430	25.97	210
1.971	46.06	195
1.655	55.51	161
2.324	38.75	149
3.405	26.17	128

=====

# 8
Diffraction record for Ac3La3Pm2. The PXRD pattern is simulated, not measured: it uses a cell relaxed with PBE and copper Kα.
Neutral-atom scattering factors, no anomalous dispersion.

Structure:
```
Ac3La3Pm2
1.0
5.3920 0.0000 0.0000
0.0000 5.4097 0.0000
0.0000 0.0000 10.6743
Ac La Pm
3 3 2
direct
0.0000 0.0000 0.0000
0.0000 0.0000 0.5000
0.5000 0.5000 0.0000
0.0000 0.5000 0.2543
0.0000 0.5000 0.7457
0.5000 0.5000 0.5000
0.5000 0.0000 0.2538
0.5000 0.0000 0.7462
```

Most intense lines, 10° ≤ 2θ ≤ 90°, in order of falling intensity:
d_spacing	two_theta	Rel. int.
3.106	28.74	1000
1.898	47.93	248
2.705	33.12	173
2.696	33.23	172
2.669	33.58	166
1.629	56.51	153
1.625	56.65	152
1.613	57.12	147
1.553	59.53	131
1.909	47.62	127